# 1
For Dy3ReO7, a crystal structure in the Materials Project, relaxed with PBE gives the simulated X-ray diffraction stick pattern in this record (Cu Ka).

Structure:
Unit cell a=7.467 b=10.506 c=7.439 alpha=90.00 beta=90.00 gamma=90.00
Space group Cmcm (No. 63)
Inequivalent atoms, fractional coordinates:
Dy 0.000 0.000 0.000 (multiplicity 4)
Dy 0.233 0.267 0.250 (multiplicity 8)
Re 0.000 0.500 0.000 (multiplicity 4)
O 0.000 0.131 0.750 (multiplicity 4)
O 0.000 0.137 0.250 (multiplicity 4)
O 0.000 0.432 0.250 (multiplicity 4)
O 0.197 0.376 0.529 (multiplicity 16)

Principal peaks in the range 10 to 80 degrees two-theta, low angle first:
| (hkl) | 2θ (°) | d (Å) | I (rel.) |
| --- | --- | --- | --- |
| 2 2 0 | 29.39 | 3.039 | 100 |
| 2 0 2 | 34.02 | 2.635 | 25 |
| 0 4 0 | 34.14 | 2.627 | 11 |
| 4 0 0 | 48.79 | 1.867 | 7 |
| 0 0 4 | 48.97 | 1.860 | 37 |
| 4 2 2 | 58.00 | 1.590 | 14 |
| 2 2 4 | 58.15 | 1.586 | 21 |
| 0 2 6 | 79.36 | 1.207 | 8 |

# 2
For Sr2DyReO6, a crystal structure in the Materials Project, relaxed with PBE gives the simulated X-ray diffraction stick pattern in this record (Cu Ka).

Structure:
Unit cell a=8.350 b=8.350 c=8.350 alpha=90.00 beta=90.00 gamma=90.00
Space group Fm-3m (No. 225)
Inequivalent atoms, fractional coordinates:
Sr 0.250 0.250 0.250 (multiplicity 8)
Dy 0.000 0.000 0.000 (multiplicity 4)
Re 0.000 0.000 0.500 (multiplicity 4)
O 0.000 0.000 0.264 (multiplicity 24)

Principal peaks in the range 10 to 80 degrees two-theta, low angle first:
| (hkl) | 2θ (°) | d (Å) | I (rel.) |
| --- | --- | --- | --- |
| 2 0 0 | 21.28 | 4.175 | 21 |
| 2 2 0 | 30.27 | 2.952 | 100 |
| 4 0 0 | 43.34 | 2.088 | 30 |
| 4 2 0 | 48.77 | 1.867 | 9 |
| 4 2 2 | 53.78 | 1.704 | 41 |
| 4 4 0 | 62.97 | 1.476 | 19 |
| 6 2 0 | 71.45 | 1.320 | 18 |
| 4 4 4 | 79.53 | 1.205 | 6 |

# 3
For DyRhO3, a crystal structure in the Materials Project, relaxed with PBE gives the simulated X-ray diffraction stick pattern in this record (Cu Ka).

Structure:
Unit cell a=5.824 b=7.672 c=5.284 alpha=90.00 beta=90.00 gamma=90.00
Space group Pnma (No. 62)
Inequivalent atoms, fractional coordinates:
Dy 0.085 0.250 0.032 (multiplicity 4)
Rh 0.000 0.000 0.500 (multiplicity 4)
O 0.053 0.750 0.363 (multiplicity 4)
O 0.191 0.564 0.822 (multiplicity 8)

Principal peaks in the range 10 to 80 degrees two-theta, low angle first:
| (hkl) | 2θ (°) | d (Å) | I (rel.) |
| --- | --- | --- | --- |
| 1 1 1 | 25.55 | 3.486 | 22 |
| 2 0 0 | 30.70 | 2.912 | 17 |
| 1 2 1 | 32.69 | 2.740 | 100 |
| 0 0 2 | 33.93 | 2.642 | 23 |
| 0 4 0 | 47.36 | 1.919 | 21 |
| 3 1 1 | 51.55 | 1.773 | 15 |
| 0 4 2 | 59.53 | 1.553 | 16 |
| 1 2 3 | 59.93 | 1.543 | 19 |

# 4
For DyRhO3, a crystal structure in the Materials Project, relaxed with PBE gives the simulated X-ray diffraction stick pattern in this record (Cu Ka).

Structure:
Unit cell a=3.940 b=3.940 c=3.940 alpha=90.00 beta=90.00 gamma=90.00
Space group Pm-3m (No. 221)
Inequivalent atoms, fractional coordinates:
Dy 0.000 0.000 0.000 (multiplicity 1)
Rh 0.500 0.500 0.500 (multiplicity 1)
O 0.000 0.500 0.500 (multiplicity 3)

Principal peaks in the range 10 to 80 degrees two-theta, low angle first:
| (hkl) | 2θ (°) | d (Å) | I (rel.) |
| --- | --- | --- | --- |
| 1 0 0 | 22.57 | 3.940 | 2 |
| 1 1 0 | 32.13 | 2.786 | 100 |
| 1 1 1 | 39.62 | 2.275 | 6 |
| 2 0 0 | 46.07 | 1.970 | 29 |
| 2 1 0 | 51.89 | 1.762 | 1 |
| 2 1 1 | 57.27 | 1.609 | 39 |
| 2 2 0 | 67.20 | 1.393 | 17 |
| 3 1 0 | 76.44 | 1.246 | 17 |